[1]
Mn6ClO5: calculated XRD peak list (Cu Kα, 1.54184 Å), based on DFT lattice parameters and positions (GGA+U).
Intensities are scaled so that the largest is 1000.

Main lines, in order of rising 2θ (15 to 90 degrees two-theta):
(2 0 0), 2θ = 33.10°, intensity 480
(0 0 2), 2θ = 33.35°, intensity 178
(2 0 -2), 2θ = 38.17°, intensity 534
(1 3 1), 2θ = 38.64°, intensity 1000
(3 3 -1), 2θ = 55.28°, intensity 255
(1 3 -3), 2θ = 55.61°, intensity 397
(2 0 2), 2θ = 55.96°, intensity 145
(4 0 0), 2θ = 69.47°, intensity 152

Cell and atoms:
```
data_Mn6ClO5
_chemical_formula_sum 'Mn12 Cl2 O10'
_symmetry_space_group_name_H-M 'C 1 2/m 1'
_symmetry_Int_Tables_number 12
_symmetry_space_group_name_Hall '-C 2y'
_cell_length_a 5.768
_cell_length_b 9.914
_cell_length_c 5.727
_cell_angle_alpha 90.00
_cell_angle_beta 110.25
_cell_angle_gamma 90.00
loop_
_atom_site_label
_atom_site_type_symbol
_atom_site_fract_x
_atom_site_fract_y
_atom_site_fract_z
Mn1 Mn 0.222 0.187 0.240
Mn2 Mn 0.226 0.000 0.778
Cl1 Cl 0.000 0.500 0.500
O1 O 0.000 0.000 0.000
O2 O 0.000 0.168 0.500
O3 O 0.000 0.341 0.000
```

---

[2]
Mn4ClO4: calculated XRD peak list (Cu Kα, 1.54184 Å), based on DFT lattice parameters and positions (GGA+U).
Intensities are scaled so that the largest is 1000.

Main lines, in order of rising 2θ (15 to 90 degrees two-theta):
(1 1 2), 2θ = 28.03°, intensity 257
(2 2 0), 2θ = 30.03°, intensity 1000
(2 0 2), 2θ = 30.25°, intensity 555
(0 2 2), 2θ = 33.45°, intensity 150
(4 0 0), 2θ = 37.77°, intensity 241
(1 1 3), 2θ = 38.92°, intensity 249
(0 4 0), 2θ = 47.69°, intensity 342
(4 2 2), 2θ = 51.33°, intensity 408

Cell and atoms:
```
data_Mn4ClO4
_chemical_formula_sum 'Mn16 Cl4 O16'
_symmetry_space_group_name_H-M 'C m c m'
_symmetry_Int_Tables_number 63
_symmetry_space_group_name_Hall '-C 2c 2'
_cell_length_a 9.527
_cell_length_b 7.621
_cell_length_c 7.535
_cell_angle_alpha 90.00
_cell_angle_beta 90.00
_cell_angle_gamma 90.00
loop_
_atom_site_label
_atom_site_type_symbol
_atom_site_fract_x
_atom_site_fract_y
_atom_site_fract_z
Mn1 Mn 0.000 0.194 0.060
Mn2 Mn 0.245 0.002 0.250
Cl1 Cl 0.000 0.345 0.750
O1 O 0.145 0.000 0.000
O2 O 0.146 0.267 0.250
```

---

[3]
Rb2MnV2Cl2O6: calculated XRD peak list (Cu Kα, 1.54184 Å), based on DFT lattice parameters and positions (GGA+U).
Intensities are scaled so that the largest is 1000.

Main lines, in order of rising 2θ (15 to 90 degrees two-theta):
(1 1 -1), 2θ = 23.36°, intensity 487
(1 1 1), 2θ = 23.86°, intensity 467
(0 4 1), 2θ = 26.11°, intensity 1000
(1 3 -1), 2θ = 27.37°, intensity 697
(1 3 1), 2θ = 27.80°, intensity 627
(1 5 0), 2θ = 29.72°, intensity 865
(2 0 0), 2θ = 31.95°, intensity 791
(0 0 2), 2θ = 33.73°, intensity 679

Cell and atoms:
```
data_Rb2MnV2Cl2O6
_chemical_formula_sum 'Rb4 Mn2 V4 Cl4 O12'
_symmetry_space_group_name_H-M 'C 1 m 1'
_symmetry_Int_Tables_number 8
_symmetry_space_group_name_Hall 'C -2y'
_cell_length_a 5.603
_cell_length_b 17.811
_cell_length_c 5.316
_cell_angle_alpha 90.00
_cell_angle_beta 91.26
_cell_angle_gamma 90.00
loop_
_atom_site_label
_atom_site_type_symbol
_atom_site_fract_x
_atom_site_fract_y
_atom_site_fract_z
Rb1 Rb 0.000 0.127 0.000
Mn1 Mn 0.470 0.000 0.456
V1 V 0.496 0.201 0.516
Cl1 Cl 0.420 0.500 0.470
Cl2 Cl 0.450 0.000 0.940
O1 O 0.003 0.297 0.827
O2 O 0.291 0.274 0.405
O3 O 0.408 0.114 0.414
```

---

[4]
Rb2MnV2Cl2O6: calculated XRD peak list (Cu Kα, 1.54184 Å), based on DFT lattice parameters and positions (GGA+U).
Intensities are scaled so that the largest is 1000.

Main lines, in order of rising 2θ (15 to 90 degrees two-theta):
(1 1 2), 2θ = 23.48°, intensity 761
(0 4 2), 2θ = 25.75°, intensity 832
(1 3 2), 2θ = 27.41°, intensity 1000
(1 5 0), 2θ = 29.64°, intensity 639
(2 0 0), 2θ = 32.34°, intensity 667
(0 0 4), 2θ = 33.01°, intensity 545
(2 4 2), 2θ = 41.79°, intensity 334
(2 0 4), 2θ = 46.89°, intensity 309

Cell and atoms:
```
data_Rb2MnV2Cl2O6
_chemical_formula_sum 'Rb8 Mn4 V8 Cl8 O24'
_symmetry_space_group_name_H-M 'I b a 2'
_symmetry_Int_Tables_number 45
_symmetry_space_group_name_Hall 'I 2 -2c'
_cell_length_a 5.536
_cell_length_b 17.968
_cell_length_c 10.853
_cell_angle_alpha 90.00
_cell_angle_beta 90.00
_cell_angle_gamma 90.00
loop_
_atom_site_label
_atom_site_type_symbol
_atom_site_fract_x
_atom_site_fract_y
_atom_site_fract_z
Rb1 Rb 0.000 0.125 0.000
Mn1 Mn 0.000 0.500 0.268
V1 V 0.045 0.300 0.245
Cl1 Cl 0.000 0.000 0.266
Cl2 Cl 0.000 0.500 0.035
O1 O 0.022 0.387 0.799
O2 O 0.043 0.300 0.093
O3 O 0.160 0.228 0.800
```

---

[5]
Mn4SiTeCl2O7: calculated XRD peak list (Cu Kα, 1.54184 Å), based on DFT lattice parameters and positions (GGA+U).
Intensities are scaled so that the largest is 1000.

Main lines, in order of rising 2θ (15 to 90 degrees two-theta):
(1 0 1), 2θ = 17.86°, intensity 635
(0 0 4), 2θ = 27.79°, intensity 607
(1 1 -3), 2θ = 28.94°, intensity 1000
(1 1 3), 2θ = 30.43°, intensity 702
(0 2 3), 2θ = 34.45°, intensity 695
(1 2 2), 2θ = 35.17°, intensity 903
(2 1 -1), 2θ = 35.50°, intensity 572
(2 1 2), 2θ = 38.78°, intensity 633

Cell and atoms:
```
data_Mn4SiTeCl2O7
_chemical_formula_sum 'Mn8 Si2 Te2 Cl4 O14'
_symmetry_space_group_name_H-M 'P 1 21/m 1'
_symmetry_Int_Tables_number 11
_symmetry_space_group_name_Hall '-P 2yb'
_cell_length_a 5.544
_cell_length_b 6.560
_cell_length_c 12.868
_cell_angle_alpha 90.00
_cell_angle_beta 93.67
_cell_angle_gamma 90.00
loop_
_atom_site_label
_atom_site_type_symbol
_atom_site_fract_x
_atom_site_fract_y
_atom_site_fract_z
Mn1 Mn 0.012 0.250 0.329
Mn2 Mn 0.148 0.250 0.834
Mn3 Mn 0.357 0.004 0.141
Si1 Si 0.156 0.750 0.938
Te1 Te 0.291 0.750 0.354
Cl1 Cl 0.137 0.250 0.514
Cl2 Cl 0.433 0.750 0.678
O1 O 0.102 0.546 0.279
O2 O 0.125 0.250 0.113
O3 O 0.161 0.750 0.067
O4 O 0.292 0.538 0.904
O5 O 0.488 0.250 0.757
```

---

[6]
SrMnClO2: calculated XRD peak list (Cu Kα, 1.54184 Å), based on DFT lattice parameters and positions (GGA+U).
Intensities are scaled so that the largest is 1000.

Main lines, in order of rising 2θ (15 to 90 degrees two-theta):
(0 2 1), 2θ = 21.75°, intensity 792
(1 3 0), 2θ = 26.98°, intensity 748
(2 0 0), 2θ = 31.10°, intensity 460
(1 3 1), 2θ = 31.53°, intensity 1000
(0 0 2), 2θ = 32.33°, intensity 408
(2 2 1), 2θ = 38.27°, intensity 363
(1 5 0), 2θ = 40.40°, intensity 399
(2 0 2), 2θ = 45.47°, intensity 617

Cell and atoms:
```
data_SrMnClO2
_chemical_formula_sum 'Sr4 Mn4 Cl4 O8'
_symmetry_space_group_name_H-M 'C m c m'
_symmetry_Int_Tables_number 63
_symmetry_space_group_name_Hall '-C 2c 2'
_cell_length_a 5.752
_cell_length_b 12.111
_cell_length_c 5.538
_cell_angle_alpha 90.00
_cell_angle_beta 90.00
_cell_angle_gamma 90.00
loop_
_atom_site_label
_atom_site_type_symbol
_atom_site_fract_x
_atom_site_fract_y
_atom_site_fract_z
Sr1 Sr 0.000 0.120 0.250
Mn1 Mn 0.000 0.493 0.250
Cl1 Cl 0.000 0.260 0.750
O1 O 0.229 0.500 0.000
```

---

[7]
Sr4Mn3Cl2O8: calculated XRD peak list (Cu Kα, 1.54184 Å), based on DFT lattice parameters and positions (GGA+U).
Intensities are scaled so that the largest is 1000.

Main lines, in order of rising 2θ (15 to 90 degrees two-theta):
(1 0 7), 2θ = 29.67°, intensity 118
(1 1 0), 2θ = 32.18°, intensity 604
(1 0 9), 2θ = 33.55°, intensity 1000
(1 1 8), 2θ = 39.16°, intensity 237
(2 0 0), 2θ = 46.15°, intensity 393
(1 1 16), 2θ = 55.79°, intensity 115
(2 1 9), 2θ = 58.25°, intensity 388
(2 2 0), 2θ = 67.32°, intensity 115

Cell and atoms:
```
data_Sr4Mn3Cl2O8
_chemical_formula_sum 'Sr8 Mn6 Cl4 O16'
_symmetry_space_group_name_H-M 'I 4/m m m'
_symmetry_Int_Tables_number 139
_symmetry_space_group_name_Hall '-I 4 2'
_cell_length_a 3.934
_cell_length_b 3.934
_cell_length_c 32.737
_cell_angle_alpha 90.00
_cell_angle_beta 90.00
_cell_angle_gamma 90.00
loop_
_atom_site_label
_atom_site_type_symbol
_atom_site_fract_x
_atom_site_fract_y
_atom_site_fract_z
Sr1 Sr 0.000 0.000 0.057
Sr2 Sr 0.000 0.000 0.178
Mn1 Mn 0.000 0.000 0.380
Mn2 Mn 0.000 0.000 0.500
Cl1 Cl 0.000 0.000 0.286
O1 O 0.000 0.000 0.439
O2 O 0.000 0.500 0.000
O3 O 0.000 0.500 0.129
```

---

[8]
MnTcClO4: calculated XRD peak list (Cu Kα, 1.54184 Å), based on DFT lattice parameters and positions (GGA+U).
Intensities are scaled so that the largest is 1000.

Main lines, in order of rising 2θ (15 to 90 degrees two-theta):
(1 1 -1), 2θ = 16.40°, intensity 329
(2 0 -1), 2θ = 18.72°, intensity 971
(0 0 2), 2θ = 21.84°, intensity 581
(1 1 1), 2θ = 22.46°, intensity 567
(1 1 -2), 2θ = 22.67°, intensity 677
(0 2 0), 2θ = 24.74°, intensity 1000
(3 1 -1), 2θ = 31.33°, intensity 435
(1 1 -3), 2θ = 31.73°, intensity 429

Cell and atoms:
```
data_MnTcClO4
_chemical_formula_sum 'Mn4 Tc4 Cl4 O16'
_symmetry_space_group_name_H-M 'C 1 2/m 1'
_symmetry_Int_Tables_number 12
_symmetry_space_group_name_Hall '-C 2y'
_cell_length_a 9.480
_cell_length_b 7.196
_cell_length_c 9.358
_cell_angle_alpha 90.00
_cell_angle_beta 119.57
_cell_angle_gamma 90.00
loop_
_atom_site_label
_atom_site_type_symbol
_atom_site_fract_x
_atom_site_fract_y
_atom_site_fract_z
Mn1 Mn 0.168 0.000 0.199
Tc1 Tc 0.130 0.500 0.326
Cl1 Cl 0.130 0.000 0.920
O1 O 0.067 0.500 0.704
O2 O 0.161 0.303 0.237
O3 O 0.232 0.000 0.464
```

---

Q: What is the formula in the fifth record?
A: Mn4SiTeCl2O7